For Tm12In2Fe3, the GGA-PBE geometry in Alexandria gives the theoretical XRD peak list in this record (Cu Kα X-rays).
Neutral-atom scattering factors, no anomalous dispersion.

Cell and atoms:
```
data_Tm12In2Fe3
_chemical_formula_sum 'Tm12 In2 Fe3'
_symmetry_space_group_name_H-M 'P 1'
_symmetry_Int_Tables_number 1
_symmetry_space_group_name_Hall 'P 1'
_cell_length_a 8.2356
_cell_length_b 8.2356
_cell_length_c 8.2356
_cell_angle_alpha 108.54
_cell_angle_beta 108.54
_cell_angle_gamma 111.34
loop_
_atom_site_label
_atom_site_type_symbol
_atom_site_fract_x
_atom_site_fract_y
_atom_site_fract_z
_atom_site_occupancy
Tm1 Tm 0.0453 0.8088 0.2364 1
Tm2 Tm 0.1912 0.4276 0.2364 1
Tm3 Tm 0.1912 0.9547 0.7636 1
Tm4 Tm 0.3074 0.3074 0.6147 1
Tm5 Tm 0.3074 0.6926 0.0000 1
Tm6 Tm 0.4276 0.1912 0.2364 1
Tm7 Tm 0.5724 0.8088 0.7636 1
Tm8 Tm 0.6926 0.3074 0.0000 1
Tm9 Tm 0.6926 0.6926 0.3853 1
Tm10 Tm 0.8088 0.0453 0.2364 1
Tm11 Tm 0.8088 0.5724 0.7636 1
Tm12 Tm 0.9547 0.1912 0.7636 1
In1 In 0.0000 0.5000 0.5000 1
In2 In 0.5000 0.0000 0.5000 1
Fe1 Fe 0.0000 0.0000 0.0000 1
Fe2 Fe 0.3842 0.3842 0.0000 1
Fe3 Fe 0.6158 0.6158 0.0000 1
```

Most intense lines, 2θ = 10–80°, sorted by position:
- 29.47 deg, intensity 26
- 30.33 deg, intensity 25
- 32.64 deg, intensity 100
- 35.00 deg, intensity 36
- 35.73 deg, intensity 41
- 37.40 deg, intensity 41
- 56.30 deg, intensity 16
- 59.76 deg, intensity 17